Starting from DFT lattice parameters and positions (PBE+U), the powder diffraction line list of Li4FeTe2WO12 was calculated for Cu Kα (weighted mean of Kα1 and Kα2).
Intensities are scaled so that the largest is 100.

Most intense lines, 2θ = 5–70°, by intensity:
23.6 deg, 3.775 Å, intensity 100.0
23.7 deg, 3.749 Å, intensity 49.4
32.7 deg, 2.735 Å, intensity 38.6
34.5 deg, 2.596 Å, intensity 25.7
42.3 deg, 2.136 Å, intensity 22.8
53.1 deg, 1.726 Å, intensity 20.4
32.6 deg, 2.745 Å, intensity 19.6
48.2 deg, 1.888 Å, intensity 17.8
60.7 deg, 1.526 Å, intensity 14.3
53.4 deg, 1.716 Å, intensity 13.8
34.6 deg, 2.589 Å, intensity 12.7
55.6 deg, 1.652 Å, intensity 12.5

Crystal structure
```
20
Lattice="5.200 0.000 0.000 0.000 5.508 0.000 0.015 0.592 7.497" Properties=species:S:1:pos:R:3 pbc="T T T"
Li 0.000 0.000 0.000
Li 0.037 0.431 4.054
Li 2.582 2.503 7.040
Li 2.661 2.876 3.982
Fe 0.016 2.821 5.481
Te 0.018 2.486 1.726
Te 2.601 5.445 5.508
W 2.618 5.172 1.776
O 0.638 2.736 7.364
O 1.029 0.625 2.208
O 1.066 4.427 4.944
O 1.641 1.547 5.038
O 1.770 3.468 2.207
O 1.955 5.607 7.390
O 3.305 5.294 3.586
O 3.487 3.770 5.861
O 3.556 1.277 1.214
O 4.163 0.977 5.909
O 4.251 4.178 1.217
O 4.599 2.464 3.593
```